Calculated PXRD pattern of Dy4AlIn for Cu Kα (weighted mean of Kα1 and Kα2), from the GGA-PBE geometry in Alexandria.

Largest 8 diffraction maxima, low angle first, 2θ = 10–90°:
2θ (°), I (rel.)
24.62, 50
35.10, 100
43.38, 11
50.48, 18
56.89, 9
57.01, 10
62.82, 8
63.02, 27

Crystal structure
```
Dy4AlIn
1.0
2.5534 1.4742 8.3714
-2.5534 1.4742 8.3714
0.0000 -2.9484 8.3714
Dy Al In
4 1 1
direct
0.1215 0.1215 0.1215
0.3716 0.3716 0.3716
0.6284 0.6284 0.6284
0.8785 0.8785 0.8785
0.0000 0.0000 0.0000
0.5000 0.5000 0.5000
```